(1)
Starting from DFT lattice parameters and positions (GGA-PBE), the powder X-ray diffraction pattern of La2NdAlCl3 was computed for λ = 1.5418 Å (Cu Kα).
No peak broadening, texture or thermal motion is included.

Main lines, by intensity (10 to 90 degrees two-theta):
- 30.0 deg, I 100, (2 0 0)
- 25.9 deg, I 72, (1 1 1)
- 43.0 deg, I 72, (2 0 2)
- 21.1 deg, I 52, (1 0 1)
- 30.2 deg, I 49, (0 0 2)
- 14.9 deg, I 44, (1 0 0)

Structure:
```
data_La2NdAlCl3
_chemical_formula_sum 'La2 Nd1 Al1 Cl3'
_cell_length_a 5.9591
_cell_length_b 5.9591
_cell_length_c 5.9276
_cell_angle_alpha 90.00
_cell_angle_beta 90.00
_cell_angle_gamma 90.00
_symmetry_space_group_name_H-M 'P 4/m m m'
_symmetry_Int_Tables_number 123
_symmetry_space_group_name_Hall '-P 4 2'
loop_
_atom_site_label
_atom_site_type_symbol
_atom_site_fract_x
_atom_site_fract_y
_atom_site_fract_z
La1 La 0.0000 0.5000 0.0000
Nd1 Nd 0.0000 0.0000 0.5000
Al1 Al 0.0000 0.0000 0.0000
Cl1 Cl 0.0000 0.5000 0.5000
Cl2 Cl 0.5000 0.5000 0.0000
```


(2)
Starting from DFT lattice parameters and positions (GGA-PBE), the powder X-ray diffraction pattern of RbTh3F13 was computed for λ = 1.5418 Å (Cu Kα).
No peak broadening, texture or thermal motion is included.

Main lines, by intensity (10 to 90 degrees two-theta):
- 26.5 deg, I 100, (0 2 1)
- 25.3 deg, I 89, (2 1 0)
- 46.3 deg, I 75, (2 2 3)
- 24.1 deg, I 62, (0 1 2)
- 27.4 deg, I 60, (2 1 1)
- 44.8 deg, I 51, (2 3 1)

Structure:
```
data_RbTh3F13
_chemical_formula_sum 'Rb2 Th6 F26'
_cell_length_a 8.0366
_cell_length_b 7.3147
_cell_length_c 8.5399
_cell_angle_alpha 90.00
_cell_angle_beta 90.00
_cell_angle_gamma 90.00
_symmetry_space_group_name_H-M 'P m c 21'
_symmetry_Int_Tables_number 26
loop_
_symmetry_equiv_pos_as_xyz
'x,y,z'
'-x,-y,z+1/2'
'-x,y,z'
'x,-y,z+1/2'
loop_
_atom_site_label
_atom_site_type_symbol
_atom_site_fract_x
_atom_site_fract_y
_atom_site_fract_z
Rb1 Rb 0.0000 0.1044 0.0000
Th1 Th 0.2447 0.3967 0.6392
Th2 Th 0.5000 0.1097 0.3028
F1 F 0.0000 0.2218 0.6740
F2 F 0.0000 0.4290 0.1599
F3 F 0.1890 0.4489 0.9026
F4 F 0.2375 0.1763 0.4435
F5 F 0.3001 0.1130 0.7631
F6 F 0.3233 0.2991 0.1608
F7 F 0.5000 0.0306 0.0393
F8 F 0.5000 0.3662 0.4839
F9 F 0.5000 0.4025 0.7695
```